Computed PXRD pattern
Compound: Nd2Fe2Se2O3
Radiation: a wavelength of 1.5418 Å
Structure: a cell relaxed with PBE+U
Neutral-atom scattering factors, no anomalous dispersion.

The 10 most intense peaks (10 to 90 degrees two-theta), low angle first:
- 3.431 Å, 26.0°, I = 28
- 2.895 Å, 30.9°, I = 22
- 2.773 Å, 32.3°, I = 100
- 2.467 Å, 36.4°, I = 20
- 2.047 Å, 44.3°, I = 31
- 1.829 Å, 49.9°, I = 17
- 1.647 Å, 55.8°, I = 33
- 1.447 Å, 64.4°, I = 10
- 1.387 Å, 67.5°, I = 10
- 1.283 Å, 73.9°, I = 11

Crystal structure
a = 9.870 Å, b = 9.870 Å, c = 9.870 Å
α = 156.06°, β = 156.06°, γ = 34.11°
Element x y z (fractional)
Nd: 0.188 0.188 0.000
Nd: 0.812 0.812 0.000
Fe: 0.000 0.500 0.500
Fe: 0.500 0.000 0.500
Se: 0.400 0.400 0.000
Se: 0.600 0.600 0.000
O: 0.000 0.000 0.000
O: 0.250 0.750 0.500
O: 0.750 0.250 0.500



Computed PXRD pattern
Compound: Sr2NdFeO6
Radiation: a wavelength of 1.5418 Å
Structure: a cell relaxed with PBE+U
Neutral-atom scattering factors, no anomalous dispersion.

The 10 most intense peaks (10 to 90 degrees two-theta), low angle first:
- 4.795 Å, 18.5°, I = 8
- 2.936 Å, 30.4°, I = 100
- 2.504 Å, 35.9°, I = 8
- 2.076 Å, 43.6°, I = 33
- 1.905 Å, 47.7°, I = 5
- 1.695 Å, 54.1°, I = 39
- 1.468 Å, 63.3°, I = 20
- 1.313 Å, 71.9°, I = 18
- 1.199 Å, 80.0°, I = 6
- 1.110 Å, 88.0°, I = 21

Crystal structure
a = 5.873 Å, b = 5.873 Å, c = 5.873 Å
α = 60.00°, β = 60.00°, γ = 60.00°
Element x y z (fractional)
Sr: 0.250 0.250 0.250
Sr: 0.750 0.750 0.750
Nd: 0.000 0.000 0.000
Fe: 0.500 0.500 0.500
O: 0.273 0.273 0.727
O: 0.273 0.727 0.273
O: 0.273 0.727 0.727
O: 0.727 0.273 0.273
O: 0.727 0.273 0.727
O: 0.727 0.727 0.273



Computed PXRD pattern
Compound: SrNdFeO4
Radiation: a wavelength of 1.5418 Å
Structure: a cell relaxed with PBE+U
Neutral-atom scattering factors, no anomalous dispersion.

The 10 most intense peaks (10 to 90 degrees two-theta), low angle first:
- 6.283 Å, 14.1°, I = 13
- 3.728 Å, 23.9°, I = 24
- 2.856 Å, 31.3°, I = 100
- 2.760 Å, 32.4°, I = 71
- 2.113 Å, 42.8°, I = 16
- 2.074 Å, 43.7°, I = 29
- 1.952 Å, 46.5°, I = 37
- 1.668 Å, 55.0°, I = 16
- 1.611 Å, 57.2°, I = 37
- 1.428 Å, 65.4°, I = 13

Crystal structure
a = 6.863 Å, b = 6.863 Å, c = 6.863 Å
α = 146.96°, β = 146.96°, γ = 47.43°
Element x y z (fractional)
Sr: 0.000 0.000 0.000
Nd: 0.716 0.716 0.000
Fe: 0.360 0.360 0.000
O: 0.188 0.188 0.000
O: 0.346 0.846 0.500
O: 0.528 0.528 0.000
O: 0.846 0.346 0.500



Computed PXRD pattern
Compound: Nd2VFeO6
Radiation: a wavelength of 1.5418 Å
Structure: a cell relaxed with PBE+U
Neutral-atom scattering factors, no anomalous dispersion.

The 10 most intense peaks (10 to 90 degrees two-theta), low angle first:
- 3.958 Å, 22.5°, I = 18
- 3.934 Å, 22.6°, I = 12
- 3.536 Å, 25.2°, I = 15
- 2.850 Å, 31.4°, I = 21
- 2.790 Å, 32.1°, I = 100
- 2.750 Å, 32.6°, I = 24
- 1.979 Å, 45.9°, I = 22
- 1.967 Å, 46.2°, I = 15
- 1.751 Å, 52.3°, I = 15
- 1.597 Å, 57.7°, I = 17

Crystal structure
a = 5.500 Å, b = 5.700 Å, c = 9.582 Å
α = 90.00°, β = 124.81°, γ = 90.00°
Element x y z (fractional)
Nd: 0.236 0.056 0.250
Nd: 0.236 0.444 0.750
Nd: 0.764 0.556 0.250
Nd: 0.764 0.944 0.750
V: 0.500 0.000 0.000
V: 0.500 0.500 0.500
Fe: 0.000 0.000 0.500
Fe: 0.000 0.500 0.000
O: 0.153 0.204 0.950
O: 0.153 0.296 0.450
O: 0.246 0.703 0.949
O: 0.246 0.797 0.449
O: 0.343 0.027 0.748
O: 0.343 0.473 0.248
O: 0.657 0.527 0.752
O: 0.657 0.973 0.252
O: 0.754 0.203 0.551
O: 0.754 0.297 0.051
O: 0.847 0.704 0.550
O: 0.847 0.796 0.050



Computed PXRD pattern
Compound: FeNi2O4
Radiation: a wavelength of 1.5418 Å
Structure: a cell relaxed with PBE+U
Neutral-atom scattering factors, no anomalous dispersion.

The 10 most intense peaks (10 to 90 degrees two-theta), low angle first:
- 2.963 Å, 30.2°, I = 56
- 2.532 Å, 35.4°, I = 91
- 2.525 Å, 35.5°, I = 87
- 2.512 Å, 35.7°, I = 89
- 2.103 Å, 43.0°, I = 21
- 2.087 Å, 43.4°, I = 40
- 1.617 Å, 56.9°, I = 33
- 1.610 Å, 57.2°, I = 24
- 1.605 Å, 57.4°, I = 33
- 1.482 Å, 62.7°, I = 100

Crystal structure
a = 5.926 Å, b = 5.926 Å, c = 5.926 Å
α = 120.56°, β = 119.93°, γ = 89.58°
Element x y z (fractional)
Fe: 0.380 0.130 0.250
Fe: 0.620 0.870 0.750
Ni: 0.000 0.000 0.500
Ni: 0.000 0.500 0.000
Ni: 0.000 0.500 0.500
Ni: 0.500 0.500 0.000
O: 0.230 0.742 0.488
O: 0.246 0.258 0.988
O: 0.246 0.262 0.516
O: 0.246 0.731 0.984
O: 0.754 0.269 0.016
O: 0.754 0.738 0.484
O: 0.754 0.742 0.012
O: 0.770 0.258 0.512



Computed PXRD pattern
Compound: Fe14Ni11O32
Radiation: a wavelength of 1.5418 Å
Structure: a cell relaxed with PBE+U
Neutral-atom scattering factors, no anomalous dispersion.

The 10 most intense peaks (10 to 90 degrees two-theta), low angle first:
- 3.380 Å, 26.4°, I = 40
- 2.884 Å, 31.0°, I = 35
- 2.835 Å, 31.6°, I = 81
- 2.546 Å, 35.3°, I = 44
- 2.534 Å, 35.4°, I = 41
- 2.385 Å, 37.7°, I = 100
- 2.140 Å, 42.2°, I = 52
- 1.865 Å, 48.8°, I = 34
- 1.690 Å, 54.3°, I = 56
- 1.417 Å, 65.9°, I = 34

Crystal structure
a = 5.926 Å, b = 6.112 Å, c = 19.782 Å
α = 89.34°, β = 81.39°, γ = 61.27°
Element x y z (fractional)
Fe: 0.000 0.000 0.000
Fe: 0.003 0.513 0.997
Fe: 0.090 0.303 0.843
Fe: 0.109 0.554 0.411
Fe: 0.262 0.748 0.244
Fe: 0.270 0.250 0.243
Fe: 0.348 0.316 0.665
Fe: 0.354 0.030 0.090
Fe: 0.500 0.013 0.497
Fe: 0.616 0.392 0.124
Fe: 0.640 0.994 0.906
Fe: 0.663 0.716 0.320
Fe: 0.723 0.788 0.756
Fe: 0.885 0.471 0.588
Ni: 0.121 0.890 0.624
Ni: 0.230 0.785 0.754
Ni: 0.367 0.642 0.874
Ni: 0.381 0.129 0.371
Ni: 0.496 0.510 0.997
Ni: 0.502 0.514 0.496
Ni: 0.619 0.898 0.622
Ni: 0.738 0.279 0.750
Ni: 0.771 0.244 0.240
Ni: 0.875 0.143 0.371
Ni: 0.999 0.015 0.497
O: 0.046 0.204 0.060
O: 0.058 0.699 0.560
O: 0.081 0.691 0.046
O: 0.100 0.143 0.554
O: 0.134 0.647 0.695
O: 0.186 0.089 0.684
O: 0.201 0.054 0.189
O: 0.213 0.540 0.194
O: 0.297 0.450 0.314
O: 0.314 0.948 0.810
O: 0.317 0.466 0.808
O: 0.322 0.953 0.305
O: 0.415 0.829 0.938
O: 0.419 0.341 0.936
O: 0.433 0.329 0.432
O: 0.459 0.806 0.422
O: 0.554 0.214 0.565
O: 0.572 0.692 0.561
O: 0.576 0.676 0.060
O: 0.579 0.199 0.060
O: 0.650 0.121 0.190
O: 0.660 0.547 0.192
O: 0.679 0.080 0.685
O: 0.680 0.595 0.685
O: 0.797 0.472 0.807
O: 0.800 0.968 0.807
O: 0.819 0.946 0.307
O: 0.872 0.377 0.297
O: 0.899 0.887 0.439
O: 0.927 0.324 0.942
O: 0.936 0.824 0.938
O: 0.944 0.322 0.434



Q: Which formula does entry 1 have?
A: Nd2Fe2Se2O3